No. 1
Simulated powder diffractogram of Ca4Hg3Pb2 for Cu Kα (λ = 1.5418 Å), from a structure optimized by DFT (PBE).
Intensities are scaled so that the largest is 100.

Structural model:
```
Ca4Hg3Pb2
1.0
5.211 0.000 0.000
2.584 4.951 0.000
0.112 1.655 10.049
Ca Hg Pb
4 3 2
Cartesian
1.302 2.608 3.339 Ca
3.892 4.140 1.100 Ca
4.015 2.466 8.949 Ca
6.605 3.998 6.710 Ca
1.292 2.476 0.000 Hg
3.916 4.596 4.334 Hg
3.991 2.010 5.715 Hg
4.000 5.729 7.712 Pb
3.908 0.877 2.337 Pb
```

The 12 most intense peaks (2θ from 10° to 90°), by angle:
Position (°2θ)	d_spacing	I/Imax
21.74	4.088	50
21.99	4.042	54
23.24	3.827	70
31.68	2.824	100
31.97	2.799	100
32.33	2.769	87
32.50	2.755	83
34.43	2.605	92
34.85	2.574	72
42.07	2.148	46
50.41	1.810	28
60.27	1.536	31


No. 2
Simulated powder diffractogram of CsK2GaAg for Cu Kα (λ = 1.5418 Å), from a structure optimized by DFT (PBE).
Intensities are scaled so that the largest is 100.

Structural model:
```
CsK2GaAg
1.0
6.761 0.000 0.000
0.000 6.761 0.000
0.000 0.000 5.111
Cs K Ga Ag
1 2 1 1
Cartesian
0.000 0.000 0.000 Cs
0.000 3.380 2.555 K
3.380 0.000 2.555 K
3.380 3.380 2.555 Ga
3.380 3.380 0.000 Ag
```

The 12 most intense peaks (2θ from 10° to 90°), by angle:
Position (°2θ)	d_spacing	I/Imax
18.56	4.781	78
25.51	3.491	87
26.37	3.380	100
35.12	2.555	23
37.63	2.390	40
40.01	2.254	23
42.27	2.138	19
44.44	2.038	46
46.02	1.972	33
52.42	1.746	28
61.32	1.512	18
72.67	1.301	20


No. 3
Simulated powder diffractogram of ZnCd3Hg4 for Cu Kα (λ = 1.5418 Å), from a structure optimized by DFT (PBE).
Intensities are scaled so that the largest is 100.

Structural model:
```
ZnCd3Hg4
1.0
7.097 -1.569 0.000
7.097 1.569 0.000
-3.515 0.000 8.841
Zn Cd Hg
1 3 4
Cartesian
0.000 0.000 0.000 Zn
0.276 0.000 4.402 Cd
7.113 0.000 8.621 Cd
10.363 0.000 4.399 Cd
-1.735 0.000 6.578 Hg
2.083 0.000 6.878 Hg
8.579 0.000 1.945 Hg
12.350 0.000 2.213 Hg
```

The 12 most intense peaks (2θ from 10° to 90°), by angle:
Position (°2θ)	d_spacing	I/Imax
20.09	4.420	29
29.26	3.052	27
30.15	2.965	64
32.29	2.772	79
32.41	2.762	100
36.67	2.451	48
38.74	2.324	59
40.70	2.217	25
40.83	2.210	46
53.91	1.701	26
67.81	1.382	33
68.79	1.365	40